For Li9Co7O16, a crystal structure in the Materials Project, relaxed with PBE+U gives the simulated powder XRD pattern in this record (Cu Kα, 1.54184 Å).
No peak broadening, texture or thermal motion is included.

Structure:
Unit cell a=5.0807 b=7.6513 c=7.7356 alpha=82.49 beta=84.18 gamma=71.71
Space group P-1 (No. 2)
Asymmetric unit:
Li  0.0000  0.0000  0.0000
Li  0.4916  0.0598  0.8158
Li  0.4933  0.8158  0.5617
Li  0.4959  0.6922  0.9382
Li  0.4966  0.5624  0.3157
Co  0.0000  0.5000  0.5000
Co  0.0013  0.8755  0.3698
Co  0.0017  0.7573  0.7541
Co  0.0065  0.3723  0.8772
O  0.2161  0.4200  0.2705
O  0.2166  0.5318  0.9169
O  0.2184  0.7698  0.1651
O  0.2279  0.1783  0.0210
O  0.2316  0.2887  0.6695
O  0.2316  0.6537  0.5298
O  0.2332  0.0385  0.4104
O  0.2387  0.8984  0.7768

The 12 most intense peaks (10° ≤ 2θ ≤ 80°), sorted by position:
hkl, 2θ/deg, Rel. int.
1 0 0, 18.43, 100
0 2 -2, 35.93, 14
0 1 3, 36.09, 14
1 3 1, 36.52, 13
1 -2 2, 43.53, 28
-1 1 3, 43.65, 27
2 3 1, 44.24, 26
-1 3 1, 47.87, 9
-2 3 1, 63.32, 15
0 1 -5, 63.46, 15
1 5 -1, 64.11, 7
1 4 4, 64.43, 7